Starting from a cell relaxed with GGA-PBE, the X-ray diffraction stick pattern of Cd5InAg3 was simulated for λ = 1.5418 Å (Cu Kα).
Peak positions follow from Bragg's law for the DFT cell and can differ from measured ones.

Peak list (6 most intense, 2θ from 5° to 70°, in order of falling intensity)
d (Å)  I_rel
4.206  100
2.428  99
2.467  84
2.119  70
2.103  65
2.722  62

Crystal structure
a b c (Å): 6.4484 6.4484 10.7697
angles (deg): 95.06 95.06 81.42
Fractional coordinates of all 18 atoms:
1 Cd 0.0299 0.0299 0.3345
2 Cd 0.0942 0.4874 0.3440
3 Cd 0.1759 0.8241 0.0000
4 Cd 0.2128 0.2128 0.8556
5 Cd 0.4874 0.0942 0.3440
6 Cd 0.5126 0.9058 0.6560
7 Cd 0.7872 0.7872 0.1444
8 Cd 0.8241 0.1759 0.0000
9 Cd 0.9058 0.5126 0.6560
10 Cd 0.9701 0.9701 0.6655
11 In 0.4735 0.4735 0.7482
12 In 0.5265 0.5265 0.2518
13 Ag 0.2252 0.2252 0.5617
14 Ag 0.2386 0.2386 0.1216
15 Ag 0.5000 0.5000 0.0000
16 Ag 0.5000 0.5000 0.5000
17 Ag 0.7614 0.7614 0.8784
18 Ag 0.7748 0.7748 0.4383